(1)
Computed powder diffraction line list
Compound: BaSrNi4O12
Radiation: λ = 1.5418 Å (Cu Kα)
Structure: the GGA+U geometry in Alexandria
Intensities are scaled so that the largest is 100.

Structure:
```
data_BaSrNi4O12
_space_group_name_H-M_alt 'P 4/m m m'
_space_group_IT_number 123
_space_group_name_Hall '-P 4 2'
_cell_length_a 5.551
_cell_length_b 5.551
_cell_length_c 7.792
_cell_angle_alpha 90.00
_cell_angle_beta 90.00
_cell_angle_gamma 90.00
loop_
_atom_site_label
_atom_site_type_symbol
_atom_site_fract_x
_atom_site_fract_y
_atom_site_fract_z
Ba1 Ba 0.000 0.000 0.000
Sr1 Sr 0.500 0.500 0.500
Ni1 Ni 0.000 0.500 0.251
O1 O 0.000 0.500 0.000
O2 O 0.000 0.500 0.500
O3 O 0.256 0.256 0.259
```

The 10 most intense peaks (10° ≤ 2θ ≤ 90°), most intense first:
h k l  2theta  I_rel
1 1 2  32.4  100
1 0 1  19.6  99
2 0 0  32.3  51
2 2 0  46.3  46
3 1 2  57.6  39
2 1 1  38.0  36
2 2 4  67.8  26
0 0 4  46.6  22
2 0 4  57.8  19
1 0 3  38.3  18

(2)
Computed powder diffraction line list
Compound: Ba2TlNiO4
Radiation: λ = 1.5418 Å (Cu Kα)
Structure: the GGA+U geometry in Alexandria
Intensities are scaled so that the largest is 100.

Structure:
```
data_Ba2TlNiO4
_space_group_name_H-M_alt 'C 1 2/c 1'
_space_group_IT_number 15
_cell_length_a 10.243
_cell_length_b 9.581
_cell_length_c 7.871
_cell_angle_alpha 90.00
_cell_angle_beta 127.33
_cell_angle_gamma 90.00
loop_
_space_group_symop_operation_xyz
'x,y,z'
'-x,-y,-z'
'-x,y,-z+1/2'
'x,-y,z+1/2'
'x+1/2,y+1/2,z'
'-x+1/2,-y+1/2,-z'
'-x+1/2,y+1/2,-z+1/2'
'x+1/2,-y+1/2,z+1/2'
loop_
_atom_site_label
_atom_site_type_symbol
_atom_site_fract_x
_atom_site_fract_y
_atom_site_fract_z
Ba1 Ba 0.000 0.000 0.000
Ba2 Ba 0.250 0.250 0.000
Tl1 Tl 0.000 0.500 0.000
Ni1 Ni 0.250 0.250 0.500
O1 O 0.056 0.259 0.574
O2 O 0.230 0.048 0.452
```

The 10 most intense peaks (10° ≤ 2θ ≤ 90°), most intense first:
h k l  2theta  I_rel
2 2 0  28.8  100
2 2 -2  29.7  89
0 0 2  28.5  76
4 0 -2  35.1  46
0 4 0  37.5  36
0 4 2  47.8  34
4 4 -2  52.3  27
2 2 2  50.1  25
4 0 0  44.5  25
2 2 -4  51.9  22

(3)
Computed powder diffraction line list
Compound: Ba2YTlNi2O7
Radiation: λ = 1.5418 Å (Cu Kα)
Structure: the GGA+U geometry in Alexandria
Intensities are scaled so that the largest is 100.

Structure:
```
data_Ba2YTlNi2O7
_space_group_name_H-M_alt 'P 4/m m m'
_space_group_IT_number 123
_space_group_name_Hall '-P 4 2'
_cell_length_a 3.922
_cell_length_b 3.922
_cell_length_c 12.493
_cell_angle_alpha 90.00
_cell_angle_beta 90.00
_cell_angle_gamma 90.00
loop_
_atom_site_label
_atom_site_type_symbol
_atom_site_fract_x
_atom_site_fract_y
_atom_site_fract_z
Ba1 Ba 0.000 0.000 0.211
Y1 Y 0.000 0.000 0.500
Tl1 Tl 0.500 0.500 0.000
Ni1 Ni 0.500 0.500 0.353
O1 O 0.000 0.000 0.000
O2 O 0.000 0.500 0.385
O3 O 0.500 0.500 0.184
```

The 10 most intense peaks (10° ≤ 2θ ≤ 90°), most intense first:
h k l  2theta  I_rel
1 0 3  31.3  100
1 1 0  32.3  71
2 1 3  57.0  37
2 0 0  46.3  36
1 0 2  26.8  35
1 1 4  43.6  22
3 1 0  76.8  16
1 0 1  23.8  14
0 0 5  35.9  13
1 1 5  49.1  13

(4)
Computed powder diffraction line list
Compound: BaV2Ni2O8
Radiation: λ = 1.5418 Å (Cu Kα)
Structure: the GGA+U geometry in Alexandria
Intensities are scaled so that the largest is 100.

Structure:
```
data_BaV2Ni2O8
_space_group_name_H-M_alt 'R -3'
_space_group_IT_number 148
_space_group_name_Hall '-R 3'
_cell_length_a 5.0855
_cell_length_b 5.0855
_cell_length_c 23.0993
_cell_angle_alpha 90.00
_cell_angle_beta 90.00
_cell_angle_gamma 120.00
loop_
_atom_site_label
_atom_site_type_symbol
_atom_site_fract_x
_atom_site_fract_y
_atom_site_fract_z
Ba1 Ba 0.0000 0.0000 0.0000
V1 V 0.0000 0.0000 0.4257
Ni1 Ni 0.0000 0.0000 0.1694
O1 O 0.0000 0.0000 0.3523
O2 O 0.0043 0.3447 0.7815
```

The 10 most intense peaks (10° ≤ 2θ ≤ 90°), most intense first:
h k l  2theta  I_rel
0 1 5  28.0  100
1 1 0  35.3  85
1 0 7  33.9  51
1 1 6  42.6  41
2 -1 12  60.3  39
0 1 2  21.6  33
2 0 5  45.6  27
3 0 0  63.4  26
3 -2 5  59.0  23
1 0 1  20.5  19

(5)
Computed powder diffraction line list
Compound: BaYNi4O7
Radiation: λ = 1.5418 Å (Cu Kα)
Structure: the GGA+U geometry in Alexandria
Intensities are scaled so that the largest is 100.

Structure:
```
data_BaYNi4O7
_space_group_name_H-M_alt 'P 63 m c'
_space_group_IT_number 186
_space_group_name_Hall 'P 6c -2c'
_cell_length_a 6.3458
_cell_length_b 6.3458
_cell_length_c 10.4617
_cell_angle_alpha 90.00
_cell_angle_beta 90.00
_cell_angle_gamma 120.00
loop_
_atom_site_label
_atom_site_type_symbol
_atom_site_fract_x
_atom_site_fract_y
_atom_site_fract_z
Ba1 Ba 0.3333 0.6667 0.0000
Y1 Y 0.3333 0.6667 0.3861
Ni1 Ni 0.0000 0.0000 0.4462
Ni2 Ni 0.1724 0.3447 0.6933
O1 O 0.0000 0.0000 0.2474
O2 O 0.0110 0.5055 0.7631
O3 O 0.1656 0.3311 0.5112
```

The 10 most intense peaks (10° ≤ 2θ ≤ 90°), most intense first:
h k l  2theta  I_rel
1 1 2  33.0  100
2 0 1  33.7  82
1 0 3  30.4  73
2 0 5  55.2  43
1 1 0  28.1  40
2 2 0  58.1  38
2 1 3  51.2  29
3 0 2  53.0  26
2 0 6  63.1  21
0 0 4  34.3  19

(6)
Computed powder diffraction line list
Compound: Ba3Y4Ni3O15
Radiation: λ = 1.5418 Å (Cu Kα)
Structure: the GGA+U geometry in Alexandria
Intensities are scaled so that the largest is 100.

Structure:
```
data_Ba3Y4Ni3O15
_space_group_name_H-M_alt 'C 1 2/m 1'
_space_group_IT_number 12
_cell_length_a 11.668
_cell_length_b 5.685
_cell_length_c 11.583
_cell_angle_alpha 90.00
_cell_angle_beta 109.30
_cell_angle_gamma 90.00
loop_
_space_group_symop_operation_xyz
'x,y,z'
'-x,-y,-z'
'-x,y,-z'
'x,-y,z'
'x+1/2,y+1/2,z'
'-x+1/2,-y+1/2,-z'
'-x+1/2,y+1/2,-z'
'x+1/2,-y+1/2,z'
loop_
_atom_site_label
_atom_site_type_symbol
_atom_site_fract_x
_atom_site_fract_y
_atom_site_fract_z
Ba1 Ba 0.000 0.000 0.000
Ba2 Ba 0.011 0.000 0.674
Y1 Y 0.206 0.500 0.402
Y2 Y 0.208 0.500 0.073
Ni1 Ni 0.000 0.500 0.500
Ni2 Ni 0.010 0.500 0.836
O1 O 0.000 0.500 0.000
O2 O 0.005 0.500 0.673
O3 O 0.125 0.284 0.211
O4 O 0.133 0.255 0.522
O5 O 0.139 0.261 0.897
```

The 10 most intense peaks (10° ≤ 2θ ≤ 90°), most intense first:
h k l  2theta  I_rel
1 1 3  32.4  100
0 2 0  31.5  25
4 2 0  45.9  24
1 3 3  56.6  20
3 1 0  29.0  19
2 0 0  16.1  18
2 2 -3  40.2  16
2 0 -6  47.1  16
2 2 6  67.8  13
4 0 0  32.5  12